Record 1
This entry pairs a crystal structure of ScBe2B6 with its simulated powder diffraction line list. Radiation: Cu Kα (weighted mean of Kα1 and Kα2). Structure: DFT lattice parameters and positions (GGA-PBE).

The 6 most intense peaks (15 to 90 degrees two-theta), in order of rising 2θ:
(0 1 1), 19.74 deg, rel. 75; (0 0 2), 21.13 deg, rel. 53; (1 1 2), 39.77 deg, rel. 100; (0 2 2), 40.09 deg, rel. 49; (1 2 1), 46.11 deg, rel. 85; (1 1 4), 55.47 deg, rel. 40

Atomic structure:
Cell: 3.119 5.324 8.407 Å, 90.00 90.00 90.00°
Space group Immm (No. 71)
Asymmetric unit:
Sc 0.000 0.000 0.000 x2
Be 0.000 0.500 0.119 x4
B 0.000 0.160 0.500 x4
B 0.000 0.295 0.306 x8



Record 2
This entry pairs a crystal structure of Hf6Zn6N with its simulated powder diffraction line list. Radiation: Cu Kα (weighted mean of Kα1 and Kα2). Structure: DFT lattice parameters and positions (GGA-PBE).

The 6 most intense peaks (15 to 90 degrees two-theta), in order of rising 2θ:
(3 3 1), 32.55 deg, rel. 26; (4 2 2), 36.72 deg, rel. 49; (3 3 3), 39.03 deg, rel. 100; (4 4 0), 42.66 deg, rel. 22; (6 6 0), 66.12 deg, rel. 46; (9 3 3), 79.54 deg, rel. 18

Atomic structure:
Cell: 11.991 11.991 11.991 Å, 90.00 90.00 90.00°
Space group Fd-3m (No. 227, origin choice 2)
Asymmetric unit:
Hf 0.064 0.375 0.375 x48
Zn 0.000 0.000 0.500 x16
Zn 0.043 0.043 0.707 x32
N 0.125 0.125 0.125 x8



Record 3
This entry pairs a crystal structure of LiTlAg2Br4 with its simulated powder diffraction line list. Radiation: Cu Kα (weighted mean of Kα1 and Kα2). Structure: DFT lattice parameters and positions (GGA-PBE).

The 6 most intense peaks (15 to 90 degrees two-theta), in order of rising 2θ:
(1 1 1), 15.20 deg, rel. 20; (2 0 2), 24.31 deg, rel. 100; (1 1 3), 27.11 deg, rel. 20; (1 3 1), 30.39 deg, rel. 30; (2 2 4), 41.60 deg, rel. 42; (2 4 2), 45.05 deg, rel. 34

Atomic structure:
Cell: 9.622 9.651 11.266 Å, 90.00 90.00 90.00°
Space group Fmm2 (No. 42)
Asymmetric unit:
Li 0.000 0.000 0.000 x4
Tl 0.000 0.000 0.498 x4
Ag 0.250 0.250 0.250 x8
Br 0.000 0.208 0.862 x8
Br 0.208 0.000 0.138 x8



Record 4
This entry pairs a crystal structure of Tm8TcPb2 with its simulated powder diffraction line list. Radiation: Cu Kα (weighted mean of Kα1 and Kα2). Structure: DFT lattice parameters and positions (GGA-PBE).

The 6 most intense peaks (15 to 90 degrees two-theta), in order of rising 2θ:
(4 0 -2), 27.90 deg, rel. 24; (0 2 0), 32.87 deg, rel. 100; (1 1 2), 34.94 deg, rel. 59; (5 1 -2), 34.95 deg, rel. 57; (1 3 2), 60.03 deg, rel. 25; (4 2 -4), 63.14 deg, rel. 30

Atomic structure:
Cell: 17.215 5.450 7.000 Å, 90.00 113.97 90.00°
Space group C2/m (No. 12)
Asymmetric unit:
Tm 0.001 0.000 0.261 x4
Tm 0.123 0.500 0.886 x4
Tm 0.125 0.500 0.366 x4
Tm 0.187 0.000 0.690 x4
Tc 0.000 0.500 0.500 x2
Pb 0.187 0.000 0.187 x4



Record 5
This entry pairs a crystal structure of Nd2PaS5 with its simulated powder diffraction line list. Radiation: Cu Kα (weighted mean of Kα1 and Kα2). Structure: DFT lattice parameters and positions (GGA-PBE).

The 6 most intense peaks (15 to 90 degrees two-theta), in order of rising 2θ:
(0 0 2), 23.69 deg, rel. 46; (3 0 1), 25.17 deg, rel. 100; (1 2 1), 26.12 deg, rel. 82; (2 2 0), 26.58 deg, rel. 66; (2 2 2), 35.89 deg, rel. 68; (5 2 1), 45.51 deg, rel. 46

Atomic structure:
Cell: 12.031 8.080 7.513 Å, 90.00 90.00 90.00°
Space group Pnma (No. 62)
Asymmetric unit:
Nd 0.178 0.000 0.024 x8
Pa 0.007 0.250 0.571 x4
S 0.001 0.250 0.952 x4
S 0.097 0.541 0.662 x8
S 0.185 0.250 0.331 x4
S 0.213 0.750 0.305 x4



Record 6
This entry pairs a crystal structure of Ba4Na2O with its simulated powder diffraction line list. Radiation: Cu Kα (weighted mean of Kα1 and Kα2). Structure: DFT lattice parameters and positions (GGA-PBE).

The 6 most intense peaks (15 to 90 degrees two-theta), in order of rising 2θ:
(0 0 4), 23.87 deg, rel. 47; (3 0 1), 24.92 deg, rel. 52; (1 2 2), 25.19 deg, rel. 100; (2 2 0), 26.24 deg, rel. 42; (2 2 1), 26.89 deg, rel. 31; (0 2 6), 42.00 deg, rel. 24

Atomic structure:
Cell: 11.041 8.636 14.887 Å, 90.00 90.00 90.00°
Space group Pnma (No. 62)
Asymmetric unit:
Ba 0.000 0.250 0.088 x4
Ba 0.184 0.013 0.344 x8
Ba 0.184 0.250 0.580 x4
Na 0.021 0.250 0.826 x4
Na 0.132 0.750 0.605 x4
O 0.229 0.750 0.922 x4